Structure and simulated powder diffractogram of Fe2Co5 (a DFT-relaxed cell (GGA-PBE, Alexandria); λ = 1.5418 Å (Cu Kα)).
Kinematic intensities with the Lorentz-polarization factor, no thermal factor.

Peak list (6 most intense, 2θ from 10° to 90°, by angle)
- hkl 1 -2 0, 2θ = 44.65°, 2.030 Å, rel. 978
- hkl 1 1 -2, 2θ = 44.81°, 2.023 Å, rel. 987
- hkl 0 2 1, 2θ = 45.01°, 2.014 Å, rel. 1000
- hkl 0 1 -3, 2θ = 45.40°, 1.998 Å, rel. 976
- hkl 1 0 1, 2θ = 46.16°, 1.967 Å, rel. 899
- hkl 0 3 -2, 2θ = 46.45°, 1.955 Å, rel. 906

Cell and atoms:
```
7
Lattice="2.471 0.000 0.000 -0.896 5.991 0.000 -1.080 -2.880 5.338" Properties=species:S:1:pos:R:3 pbc="T T T"
Fe -0.548 0.475 2.278
Fe 1.043 2.635 3.060
Co -0.674 4.331 1.530
Co 0.283 2.187 0.774
Co 1.236 0.000 0.000
Co 0.212 0.924 4.564
Co 1.169 -1.220 3.808
```